Structure and calculated powder diffraction line list of Sr4LiPd (a crystal structure in Alexandria, relaxed with GGA-PBE; Cu Kα, 1.54184 Å).
Kinematic intensities with the Lorentz-polarization factor, no thermal factor.

Principal peaks in the range 10° ≤ 2θ ≤ 80°, most intense first:
2theta	Rel. int.
11.52	100.0
31.01	58.6
11.77	44.1
27.71	39.6
32.08	35.7
29.85	34.9

Atomic structure:
abc: 10.2326 15.0342 7.1470
angles: 90.00 119.17 90.00
Space group C2/c (No. 15)
Inequivalent atoms, fractional coordinates:
Sr  0.1122  0.1690  0.0818 (multiplicity 8)
Sr  0.2180  0.4328  0.3071 (multiplicity 8)
Li  0.0000  0.3670  0.7500 (multiplicity 4)
Pd  0.0000  0.0003  0.2500 (multiplicity 4)

=====

Structure and calculated powder diffraction line list of Ac3Tb2Sm7 (a crystal structure in Alexandria, relaxed with GGA-PBE; Cu Kα, 1.54184 Å).
Kinematic intensities with the Lorentz-polarization factor, no thermal factor.

Principal peaks in the range 10° ≤ 2θ ≤ 80°, most intense first:
2theta	Rel. int.
30.15	100.0
30.71	59.4
31.98	51.7
33.87	37.2
30.03	32.6
30.53	28.9

Atomic structure:
abc: 3.7837 5.8234 20.8845
angles: 90.00 95.21 90.00
Space group P2/m (No. 10)
Inequivalent atoms, fractional coordinates:
Ac  0.0000  0.0000  0.0000 (multiplicity 1)
Ac  0.3251  0.5000  0.6503 (multiplicity 2)
Tb  0.1393  0.0000  0.2779 (multiplicity 2)
Sm  0.0862  0.5000  0.1721 (multiplicity 2)
Sm  0.2173  0.0000  0.4345 (multiplicity 2)
Sm  0.4291  0.0000  0.8584 (multiplicity 2)
Sm  0.5000  0.5000  0.0000 (multiplicity 1)

=====

Structure and calculated powder diffraction line list of Pm5Nd2 (a crystal structure in Alexandria, relaxed with GGA-PBE; Cu Kα, 1.54184 Å).
Kinematic intensities with the Lorentz-polarization factor, no thermal factor.

Principal peaks in the range 10° ≤ 2θ ≤ 80°, most intense first:
2theta	Rel. int.
31.75	100.0
29.36	61.4
53.59	45.6
42.00	23.2
57.98	13.5
69.03	10.6

Atomic structure:
abc: 9.6389 6.0826 9.3137
angles: 90.00 117.73 90.00
Space group C2/m (No. 12)
Inequivalent atoms, fractional coordinates:
Pm  0.0000  0.0000  0.0000 (multiplicity 2)
Pm  0.0712  0.5000  0.7132 (multiplicity 4)
Pm  0.1420  0.0000  0.4275 (multiplicity 4)
Nd  0.2139  0.5000  0.1434 (multiplicity 4)

=====

Structure and calculated powder diffraction line list of Ba2CuSn4Ir3 (a crystal structure in Alexandria, relaxed with GGA-PBE; Cu Kα, 1.54184 Å).
Kinematic intensities with the Lorentz-polarization factor, no thermal factor.

Principal peaks in the range 10° ≤ 2θ ≤ 80°, most intense first:
2theta	Rel. int.
31.42	100.0
37.90	53.4
43.25	28.9
49.99	26.2
64.44	19.7
54.67	18.7

Atomic structure:
abc: 4.7483 4.7483 10.6968
angles: 90.00 90.00 90.00
Space group P-4m2 (No. 115)
Inequivalent atoms, fractional coordinates:
Ba  0.0000  0.5000  0.2442 (multiplicity 2)
Cu  0.5000  0.5000  0.0000 (multiplicity 1)
Sn  0.0000  0.0000  0.5000 (multiplicity 1)
Sn  0.0000  0.5000  0.8791 (multiplicity 2)
Sn  0.5000  0.5000  0.5000 (multiplicity 1)
Ir  0.0000  0.0000  0.0000 (multiplicity 1)
Ir  0.0000  0.5000  0.6256 (multiplicity 2)

=====

Structure and calculated powder diffraction line list of Rb3Ru2O8 (a crystal structure in Alexandria, relaxed with GGA-PBE; Cu Kα, 1.54184 Å).
Kinematic intensities with the Lorentz-polarization factor, no thermal factor.

Principal peaks in the range 10° ≤ 2θ ≤ 80°, most intense first:
2theta	Rel. int.
25.54	100.0
28.43	89.0
38.58	41.9
48.62	30.4
43.14	26.0
60.76	20.2

Atomic structure:
abc: 6.2792 6.2792 22.7283
angles: 90.00 90.00 120.00
Space group R-3m (No. 166, hexagonal axes)
Inequivalent atoms, fractional coordinates:
Rb  0.0000  0.0000  0.0000 (multiplicity 3)
Rb  0.0000  0.0000  0.2017 (multiplicity 6)
Ru  0.0000  0.0000  0.4061 (multiplicity 6)
O  0.0000  0.0000  0.3283 (multiplicity 6)
O  0.0258  0.5129  0.2339 (multiplicity 18)

=====

Structure and calculated powder diffraction line list of Li3Ag4Hg2 (a crystal structure in Alexandria, relaxed with GGA-PBE; Cu Kα, 1.54184 Å).
Kinematic intensities with the Lorentz-polarization factor, no thermal factor.

Principal peaks in the range 10° ≤ 2θ ≤ 80°, most intense first:
2theta	Rel. int.
37.06	100.0
28.55	82.8
41.43	69.5
22.20	35.0
21.60	31.9
41.18	27.7

Atomic structure:
abc: 8.6762 17.4180 4.5497
angles: 90.00 97.73 90.00
Space group C2/c (No. 15)
Inequivalent atoms, fractional coordinates:
Li  0.0000  0.1965  0.2500 (multiplicity 4)
Li  0.1232  0.3410  0.5836 (multiplicity 8)
Ag  0.1174  0.4439  0.0356 (multiplicity 8)
Ag  0.1334  0.0515  0.4583 (multiplicity 8)
Hg  0.1821  0.1890  0.8076 (multiplicity 8)

=====

Structure and calculated powder diffraction line list of Y5Ho5Sc (a crystal structure in Alexandria, relaxed with GGA-PBE; Cu Kα, 1.54184 Å).
Kinematic intensities with the Lorentz-polarization factor, no thermal factor.

Principal peaks in the range 10° ≤ 2θ ≤ 80°, most intense first:
2theta	Rel. int.
33.91	100.0
30.54	78.8
28.69	36.3
30.83	27.4
36.97	25.1
56.46	23.0

Atomic structure:
abc: 5.8553 6.8909 17.4019
angles: 90.00 90.00 90.00
Space group Immm (No. 71)
Inequivalent atoms, fractional coordinates:
Y  0.0000  0.0000  0.0000 (multiplicity 2)
Y  0.0000  0.2556  0.3239 (multiplicity 8)
Ho  0.0000  0.0000  0.1698 (multiplicity 4)
Ho  0.0000  0.0000  0.5000 (multiplicity 2)
Ho  0.0000  0.5000  0.1232 (multiplicity 4)
Sc  0.0000  0.5000  0.5000 (multiplicity 2)

=====

Structure and calculated powder diffraction line list of Tm3Mg12Sc (a crystal structure in Alexandria, relaxed with GGA-PBE; Cu Kα, 1.54184 Å).
Kinematic intensities with the Lorentz-polarization factor, no thermal factor.

Principal peaks in the range 10° ≤ 2θ ≤ 80°, most intense first:
2theta	Rel. int.
33.74	100.0
19.45	52.4
27.29	46.3
39.49	32.5
18.96	27.7
67.96	25.8

Atomic structure:
abc: 4.5643 4.5643 18.7191
angles: 90.00 90.00 90.00
Space group P4/mmm (No. 123)
Inequivalent atoms, fractional coordinates:
Tm  0.0000  0.0000  0.0000 (multiplicity 1)
Tm  0.0000  0.0000  0.2532 (multiplicity 2)
Mg  0.0000  0.5000  0.1267 (multiplicity 4)
Mg  0.0000  0.5000  0.3794 (multiplicity 4)
Mg  0.5000  0.5000  0.0000 (multiplicity 1)
Mg  0.5000  0.5000  0.2532 (multiplicity 2)
Mg  0.5000  0.5000  0.5000 (multiplicity 1)
Sc  0.0000  0.0000  0.5000 (multiplicity 1)

=====

Structure and calculated powder diffraction line list of LiHoZn4 (a crystal structure in Alexandria, relaxed with GGA-PBE; Cu Kα, 1.54184 Å).
Kinematic intensities with the Lorentz-polarization factor, no thermal factor.

Principal peaks in the range 10° ≤ 2θ ≤ 80°, most intense first:
2theta	Rel. int.
36.74	100.0
27.33	86.0
41.21	83.9
56.39	28.4
60.59	27.2
72.19	26.6

Atomic structure:
abc: 4.3809 4.3809 6.3992
angles: 90.00 90.00 120.00
Space group P6/mmm (No. 191)
Inequivalent atoms, fractional coordinates:
Li  0.0000  0.0000  0.0000 (multiplicity 1)
Ho  0.0000  0.0000  0.5000 (multiplicity 1)
Zn  0.3333  0.6667  0.2163 (multiplicity 4)

=====

Structure and calculated powder diffraction line list of PaInSb2N (a crystal structure in Alexandria, relaxed with GGA-PBE; Cu Kα, 1.54184 Å).
Kinematic intensities with the Lorentz-polarization factor, no thermal factor.

Principal peaks in the range 10° ≤ 2θ ≤ 80°, most intense first:
2theta	Rel. int.
35.17	100.0
32.22	80.7
27.75	70.2
59.37	43.7
46.21	32.4
10.55	32.2

Atomic structure:
abc: 3.9292 3.9292 16.7779
angles: 90.00 90.00 90.00
Space group P4/nmm (No. 129, origin choice 2)
Inequivalent atoms, fractional coordinates:
Pa  0.2500  0.2500  0.0703 (multiplicity 2)
In  0.2500  0.2500  0.6536 (multiplicity 2)
Sb  0.2500  0.2500  0.4449 (multiplicity 2)
Sb  0.2500  0.2500  0.8260 (multiplicity 2)
N  0.2500  0.7500  0.0000 (multiplicity 2)

=====

Structure and calculated powder diffraction line list of Li6Ca3Mg2 (a crystal structure in Alexandria, relaxed with GGA-PBE; Cu Kα, 1.54184 Å).
Kinematic intensities with the Lorentz-polarization factor, no thermal factor.

Principal peaks in the range 10° ≤ 2θ ≤ 80°, most intense first:
2theta	Rel. int.
29.47	100.0
34.15	49.5
20.72	43.5
58.28	40.2
36.30	35.4
11.92	32.1

Atomic structure:
abc: 10.5009 10.5009 10.5009
angles: 90.00 90.00 90.00
Space group Im-3m (No. 229)
Inequivalent atoms, fractional coordinates:
Li  0.0000  0.3434  0.3434 (multiplicity 24)
Ca  0.0000  0.0000  0.2636 (multiplicity 12)
Mg  0.2500  0.2500  0.2500 (multiplicity 8)

=====

Structure and calculated powder diffraction line list of AcAl3Cu (a crystal structure in Alexandria, relaxed with GGA-PBE; Cu Kα, 1.54184 Å).
Kinematic intensities with the Lorentz-polarization factor, no thermal factor.

Principal peaks in the range 10° ≤ 2θ ≤ 80°, most intense first:
2theta	Rel. int.
32.01	100.0
33.25	88.3
21.85	74.4
28.79	56.0
53.07	48.6
16.29	45.0

Atomic structure:
abc: 6.2000 6.2060 10.8849
angles: 90.00 90.00 90.00
Space group Fmm2 (No. 42)
Inequivalent atoms, fractional coordinates:
Ac  0.0000  0.0000  0.0000 (multiplicity 4)
Al  0.0000  0.0000  0.6005 (multiplicity 4)
Al  0.2500  0.2500  0.2525 (multiplicity 8)
Cu  0.0000  0.0000  0.3688 (multiplicity 4)

=====

Structure and calculated powder diffraction line list of TbHoEr5 (a crystal structure in Alexandria, relaxed with GGA-PBE; Cu Kα, 1.54184 Å).
Kinematic intensities with the Lorentz-polarization factor, no thermal factor.

Principal peaks in the range 10° ≤ 2θ ≤ 80°, most intense first:
2theta	Rel. int.
31.12	100.0
31.61	99.8
31.48	83.2
30.82	72.6
33.91	39.7
35.99	36.7

Atomic structure:
abc: 11.5435 6.6661 12.0583
angles: 90.00 110.15 90.00
Space group C2/c (No. 15)
Inequivalent atoms, fractional coordinates:
Tb  0.0000  0.0281  0.2500 (multiplicity 4)
Ho  0.2500  0.2500  0.0000 (multiplicity 4)
Er  0.0000  0.4147  0.7500 (multiplicity 4)
Er  0.0784  0.2677  0.5007 (multiplicity 8)
Er  0.2197  0.3619  0.2466 (multiplicity 8)